# 1
Starting from a cell relaxed with PBE, the XRD peak list of PmPrSm6Ho2 was simulated for CuKα.

Cell and atoms:
a b c (Å): 9.286 15.205 9.685
angles (deg): 90.00 97.08 90.00
Space group C2/c (No. 15)
One atom of each set of equivalent atoms:
Pm (0.000, 0.092, 0.250) (multiplicity 4)
Pr (0.000, 0.470, 0.750) (multiplicity 4)
Sm (0.066, 0.320, 0.444) (multiplicity 8)
Sm (0.096, 0.109, 0.619) (multiplicity 8)
Sm (0.210, 0.273, 0.818) (multiplicity 8)
Ho (0.249, 0.450, 0.048) (multiplicity 8)

Principal peaks in the range 2θ = 10–80°, sorted by position:
two_theta	I (rel.)	index
28.16	67.7	1 3 2
30.01	95.9	3 1 -1
30.27	77.8	0 2 3
30.82	100.0	2 2 2
30.97	62.3	1 5 0
33.50	66.0	1 3 -3

# 2
Starting from a cell relaxed with PBE, the XRD peak list of TbPmPr2Ho4 was simulated for CuKα.

Cell and atoms:
a b c (Å): 5.089 5.119 10.055
angles (deg): 90.00 90.00 90.00
Space group Pmmm (No. 47)
One atom of each set of equivalent atoms:
Tb (0.000, 0.000, 0.000) (multiplicity 1)
Pm (0.500, 0.500, 0.500) (multiplicity 1)
Pr (0.000, 0.000, 0.500) (multiplicity 1)
Pr (0.500, 0.500, 0.000) (multiplicity 1)
Ho (0.000, 0.500, 0.249) (multiplicity 2)
Ho (0.500, 0.000, 0.248) (multiplicity 2)

Principal peaks in the range 2θ = 10–80°, sorted by position:
two_theta	I (rel.)	index
30.49	100.0	1 1 2
35.06	17.3	0 2 0
35.27	17.0	2 0 0
35.72	16.4	0 0 4
60.08	14.6	1 3 2
60.36	14.4	3 1 2

# 3
Starting from a cell relaxed with PBE, the XRD peak list of Tb4PmPrHo2 was simulated for CuKα.

Cell and atoms:
a b c (Å): 7.191 7.193 11.588
angles (deg): 89.99 89.98 60.02
Space group P-1 (No. 2)
One atom of each set of equivalent atoms:
Tb (0.167, 0.166, 0.252) (multiplicity 2)
Tb (0.167, 0.667, 0.252) (multiplicity 2)
Tb (0.333, 0.333, 0.748) (multiplicity 2)
Tb (0.333, 0.833, 0.748) (multiplicity 2)
Pm (0.000, 0.000, 0.000) (multiplicity 1)
Pm (0.500, 0.000, 0.500) (multiplicity 1)
Pr (0.500, 0.000, 0.000) (multiplicity 1)
Pr (0.500, 0.500, 0.000) (multiplicity 1)
Ho (0.000, 0.000, 0.500) (multiplicity 1)
Ho (0.000, 0.500, 0.000) (multiplicity 1)
Ho (0.000, 0.500, 0.500) (multiplicity 1)
Ho (0.500, 0.500, 0.500) (multiplicity 1)

Principal peaks in the range 2θ = 10–80°, sorted by position:
two_theta	I (rel.)	index
29.70	44.1	2 2 -1
30.87	34.6	0 0 4
32.64	100.0	2 0 2
37.08	24.5	2 2 3
50.77	26.0	4 2 0
60.61	30.5	4 2 4

# 4
Starting from a cell relaxed with PBE, the XRD peak list of Tb2PmPrHo was simulated for CuKα.

Cell and atoms:
a b c (Å): 8.453 11.629 7.182
angles (deg): 90.00 90.00 90.00
Space group Cmcm (No. 63)
One atom of each set of equivalent atoms:
Tb (0.187, 0.000, 0.000) (multiplicity 8)
Pm (0.000, 0.498, 0.250) (multiplicity 4)
Pr (0.000, 0.230, 0.250) (multiplicity 4)
Ho (0.000, 0.223, 0.750) (multiplicity 4)

Principal peaks in the range 2θ = 10–80°, sorted by position:
two_theta	I (rel.)	index
26.06	39.5	2 2 0
29.23	46.4	0 2 2
30.76	49.2	0 4 0
32.72	100.0	2 0 2
35.70	41.2	1 3 2
45.52	50.8	2 4 2

# 5
Starting from a cell relaxed with PBE, the XRD peak list of Tb5PmPr2Ho was simulated for CuKα.

Cell and atoms:
a b c (Å): 8.721 8.721 15.788
angles (deg): 90.00 90.00 90.00
Space group I4/mcm (No. 140)
One atom of each set of equivalent atoms:
Tb (0.000, 0.000, 0.000) (multiplicity 4)
Tb (0.212, 0.288, 0.140) (multiplicity 16)
Pm (0.000, 0.000, 0.250) (multiplicity 4)
Pr (0.118, 0.382, 0.500) (multiplicity 8)
Ho (0.000, 0.500, 0.250) (multiplicity 4)

Principal peaks in the range 2θ = 10–80°, sorted by position:
two_theta	I (rel.)	index
28.48	45.3	2 1 3
28.96	52.2	2 2 0
30.55	100.0	2 0 4
37.62	14.8	3 2 1
52.33	23.9	4 2 4
59.98	14.6	4 4 0

# 6
Starting from a cell relaxed with PBE, the XRD peak list of TbPm2PrHo4 was simulated for CuKα.

Cell and atoms:
a b c (Å): 7.190 10.046 7.198
angles (deg): 90.00 90.25 90.00
Space group P2/m (No. 10)
One atom of each set of equivalent atoms:
Tb (0.000, 0.000, 0.000) (multiplicity 1)
Tb (0.000, 0.000, 0.500) (multiplicity 1)
Pm (0.000, 0.500, 0.000) (multiplicity 1)
Pm (0.500, 0.000, 0.000) (multiplicity 1)
Pm (0.500, 0.500, 0.000) (multiplicity 1)
Pm (0.500, 0.500, 0.500) (multiplicity 1)
Pr (0.000, 0.500, 0.500) (multiplicity 1)
Pr (0.500, 0.000, 0.500) (multiplicity 1)
Ho (0.249, 0.248, 0.249) (multiplicity 4)
Ho (0.249, 0.248, 0.751) (multiplicity 4)

Principal peaks in the range 2θ = 10–80°, sorted by position:
two_theta	I (rel.)	index
30.57	100.0	2 2 0
35.21	17.2	2 0 -2
35.37	17.0	2 0 2
35.75	16.5	0 4 0
60.32	14.5	4 2 -2
60.53	14.4	4 2 2

# 7
Starting from a cell relaxed with PBE, the XRD peak list of Pm3Pr4HoTe8 was simulated for CuKα.

Cell and atoms:
a b c (Å): 8.9417 8.9417 22.1015
angles (deg): 90.00 90.00 120.00
Space group R-3m (No. 166, hexagonal axes)
One atom of each set of equivalent atoms:
Pm (0.0000, 0.5000, 0.0000) (multiplicity 9)
Pr (0.0000, 0.0000, 0.5000) (multiplicity 3)
Pr (0.0000, 0.5000, 0.5000) (multiplicity 9)
Ho (0.0000, 0.0000, 0.0000) (multiplicity 3)
Te (0.0000, 0.0000, 0.2518) (multiplicity 6)
Te (0.0055, 0.5028, 0.7469) (multiplicity 18)

Principal peaks in the range 2θ = 10–80°, sorted by position:
two_theta	I (rel.)	index
28.14	100.0	0 2 4
40.09	38.3	2 0 8
40.35	37.9	2 2 0
49.92	20.4	4 0 4
65.69	17.5	2 2 12
66.04	17.4	2 4 4

# 8
Starting from a cell relaxed with PBE, the XRD peak list of Pm2Pr5HoTh was simulated for CuKα.

Cell and atoms:
a b c (Å): 5.488 22.099 10.638
angles (deg): 90.00 90.00 90.00
Space group Cmcm (No. 63)
One atom of each set of equivalent atoms:
Pm (0.000, 0.113, 0.004) (multiplicity 8)
Pr (0.000, 0.002, 0.750) (multiplicity 4)
Pr (0.000, 0.277, 0.558) (multiplicity 8)
Pr (0.000, 0.372, 0.250) (multiplicity 4)
Pr (0.000, 0.500, 0.000) (multiplicity 4)
Ho (0.000, 0.398, 0.750) (multiplicity 4)
Th (0.000, 0.211, 0.250) (multiplicity 4)

Principal peaks in the range 2θ = 10–80°, sorted by position:
two_theta	I (rel.)	index
30.28	15.8	1 1 3
30.94	100.0	1 5 2
32.42	22.0	0 8 0
32.63	30.4	2 0 0
33.70	18.8	0 0 4
57.19	18.5	3 5 2